# 1
Theoretical powder diffractogram
Compound: Pm6ErTm
Radiation: Cu Kα (weighted mean of Kα1 and Kα2)
Structure: a crystal structure in Alexandria, relaxed with PBE
No peak broadening, texture or thermal motion is included.

Structural model:
Cell lengths 5.106, 5.106, 10.213 Å; angles 90.00, 90.00, 90.00 degrees
Fractional coordinates of all 8 atoms:
Pm  0.000  0.000  0.000
Pm  0.000  0.000  0.500
Pm  0.000  0.500  0.250
Pm  0.000  0.500  0.750
Pm  0.500  0.000  0.250
Pm  0.500  0.000  0.750
Er  0.500  0.500  0.000
Tm  0.500  0.500  0.500

Largest 8 diffraction maxima, low angle first, 2θ from 10° to 90°:
30.32 deg, d = 2.948 Å, I = 100; 35.15 deg, d = 2.553 Å, I = 51; 50.56 deg, d = 1.805 Å, I = 36; 60.10 deg, d = 1.540 Å, I = 43; 63.07 deg, d = 1.474 Å, I = 12; 74.30 deg, d = 1.277 Å, I = 6; 82.31 deg, d = 1.171 Å, I = 18; 84.94 deg, d = 1.142 Å, I = 17

---

# 2
Theoretical powder diffractogram
Compound: Er5Co2
Radiation: Cu Kα (weighted mean of Kα1 and Kα2)
Structure: a crystal structure in Alexandria, relaxed with PBE
No peak broadening, texture or thermal motion is included.

Structural model:
Cell lengths 8.456, 8.456, 6.878 Å; angles 96.34, 96.34, 43.23 degrees
Fractional coordinates of all 14 atoms:
Er  0.071  0.929  0.750
Er  0.148  0.285  0.315
Er  0.285  0.148  0.815
Er  0.297  0.514  0.087
Er  0.486  0.703  0.413
Er  0.514  0.297  0.587
Er  0.703  0.486  0.913
Er  0.715  0.852  0.185
Er  0.852  0.715  0.685
Er  0.929  0.071  0.250
Co  0.101  0.676  0.428
Co  0.324  0.899  0.072
Co  0.676  0.101  0.928
Co  0.899  0.324  0.572

Largest 8 diffraction maxima, low angle first, 2θ from 10° to 90°:
29.79 deg, d = 3.000 Å, I = 58; 31.57 deg, d = 2.834 Å, I = 64; 32.06 deg, d = 2.791 Å, I = 100; 32.73 deg, d = 2.736 Å, I = 27; 32.92 deg, d = 2.721 Å, I = 38; 34.19 deg, d = 2.623 Å, I = 29; 36.13 deg, d = 2.486 Å, I = 33; 36.96 deg, d = 2.432 Å, I = 37

---

# 3
Theoretical powder diffractogram
Compound: CsBe2ZnBr8
Radiation: Cu Kα (weighted mean of Kα1 and Kα2)
Structure: a crystal structure in Alexandria, relaxed with PBE
No peak broadening, texture or thermal motion is included.

Structural model:
Cell lengths 10.676, 10.676, 10.676 Å; angles 35.59, 35.59, 35.59 degrees
Fractional coordinates of all 12 atoms:
Cs  0.000  0.000  0.000
Be  0.239  0.239  0.239
Be  0.761  0.761  0.761
Zn  0.500  0.500  0.500
Br  0.110  0.463  0.772
Br  0.228  0.890  0.537
Br  0.312  0.312  0.312
Br  0.463  0.772  0.110
Br  0.537  0.228  0.890
Br  0.688  0.688  0.688
Br  0.772  0.110  0.463
Br  0.890  0.537  0.228

Largest 8 diffraction maxima, low angle first, 2θ from 10° to 90°:
19.68 deg, d = 4.512 Å, I = 30; 26.77 deg, d = 3.330 Å, I = 31; 28.78 deg, d = 3.102 Å, I = 100; 32.78 deg, d = 2.732 Å, I = 91; 33.87 deg, d = 2.647 Å, I = 16; 45.75 deg, d = 1.983 Å, I = 26; 48.31 deg, d = 1.884 Å, I = 35; 56.09 deg, d = 1.640 Å, I = 22

---

# 4
Theoretical powder diffractogram
Compound: Cd2Bi2Te3Se3
Radiation: Cu Kα (weighted mean of Kα1 and Kα2)
Structure: a crystal structure in Alexandria, relaxed with PBE
No peak broadening, texture or thermal motion is included.

Structural model:
Cell lengths 21.236, 21.236, 21.236 Å; angles 11.11, 11.11, 11.11 degrees
Fractional coordinates of all 10 atoms:
Cd  0.000  0.000  0.000
Cd  0.499  0.499  0.499
Bi  0.108  0.108  0.108
Bi  0.609  0.609  0.609
Te  0.195  0.195  0.195
Te  0.696  0.696  0.696
Te  0.913  0.913  0.913
Se  0.308  0.308  0.308
Se  0.416  0.416  0.416
Se  0.807  0.807  0.807

Largest 8 diffraction maxima, low angle first, 2θ from 10° to 90°:
16.80 deg, d = 5.276 Å, I = 15; 28.77 deg, d = 3.103 Å, I = 100; 33.87 deg, d = 2.647 Å, I = 18; 38.04 deg, d = 2.366 Å, I = 27; 44.05 deg, d = 2.056 Å, I = 37; 45.11 deg, d = 2.010 Å, I = 20; 53.47 deg, d = 1.714 Å, I = 18; 70.47 deg, d = 1.336 Å, I = 16

---

# 5
Theoretical powder diffractogram
Compound: Rb4Np3O10
Radiation: Cu Kα (weighted mean of Kα1 and Kα2)
Structure: a crystal structure in Alexandria, relaxed with PBE
No peak broadening, texture or thermal motion is included.

Structural model:
Cell lengths 16.075, 16.075, 16.075 Å; angles 164.50, 164.50, 21.99 degrees
Fractional coordinates of all 17 atoms:
Rb  0.069  0.069  0.000
Rb  0.207  0.207  0.000
Rb  0.793  0.793  0.000
Rb  0.931  0.931  0.000
Np  0.363  0.363  0.000
Np  0.500  0.500  0.000
Np  0.637  0.637  0.000
O  0.000  0.500  0.500
O  0.137  0.637  0.500
O  0.301  0.301  0.000
O  0.363  0.863  0.500
O  0.429  0.429  0.000
O  0.500  0.000  0.500
O  0.571  0.571  0.000
O  0.637  0.137  0.500
O  0.699  0.699  0.000
O  0.863  0.363  0.500

Largest 8 diffraction maxima, low angle first, 2θ from 10° to 90°:
20.68 deg, d = 4.295 Å, I = 33; 28.56 deg, d = 3.125 Å, I = 100; 29.13 deg, d = 3.066 Å, I = 53; 40.00 deg, d = 2.254 Å, I = 13; 41.66 deg, d = 2.168 Å, I = 29; 50.24 deg, d = 1.816 Å, I = 19; 51.29 deg, d = 1.781 Å, I = 41; 59.13 deg, d = 1.563 Å, I = 16

---

# 6
Theoretical powder diffractogram
Compound: CsZnHg2Te
Radiation: Cu Kα (weighted mean of Kα1 and Kα2)
Structure: a crystal structure in Alexandria, relaxed with PBE
No peak broadening, texture or thermal motion is included.

Structural model:
Cell lengths 5.617, 5.617, 5.606 Å; angles 90.00, 90.00, 90.00 degrees
Fractional coordinates of all 5 atoms:
Cs  0.000  0.000  0.000
Zn  0.500  0.500  0.500
Hg  0.000  0.500  0.500
Hg  0.500  0.000  0.500
Te  0.500  0.500  0.000

Largest 8 diffraction maxima, low angle first, 2θ from 10° to 90°:
15.80 deg, d = 5.608 Å, I = 14; 27.52 deg, d = 3.241 Å, I = 100; 31.89 deg, d = 2.807 Å, I = 80; 45.72 deg, d = 1.985 Å, I = 59; 54.20 deg, d = 1.692 Å, I = 47; 56.82 deg, d = 1.620 Å, I = 21; 73.55 deg, d = 1.288 Å, I = 19; 75.75 deg, d = 1.256 Å, I = 18

---

# 7
Theoretical powder diffractogram
Compound: BaBPd4
Radiation: Cu Kα (weighted mean of Kα1 and Kα2)
Structure: a crystal structure in Alexandria, relaxed with PBE
No peak broadening, texture or thermal motion is included.

Structural model:
Cell lengths 6.194, 5.703, 12.192 Å; angles 90.00, 90.00, 90.00 degrees
Fractional coordinates of all 24 atoms:
Ba  0.185  0.250  0.164
Ba  0.315  0.750  0.664
Ba  0.685  0.250  0.336
Ba  0.815  0.750  0.836
B  0.097  0.250  0.551
B  0.403  0.750  0.051
B  0.597  0.250  0.949
B  0.903  0.750  0.449
Pd  0.064  0.750  0.060
Pd  0.108  0.250  0.732
Pd  0.165  0.506  0.419
Pd  0.165  0.994  0.419
Pd  0.335  0.006  0.919
Pd  0.335  0.494  0.919
Pd  0.392  0.750  0.232
Pd  0.436  0.250  0.560
Pd  0.564  0.750  0.440
Pd  0.608  0.250  0.768
Pd  0.665  0.506  0.081
Pd  0.665  0.994  0.081
Pd  0.835  0.006  0.581
Pd  0.835  0.494  0.581
Pd  0.892  0.750  0.268
Pd  0.936  0.250  0.940

Largest 8 diffraction maxima, low angle first, 2θ from 10° to 90°:
30.63 deg, d = 2.919 Å, I = 24; 32.75 deg, d = 2.735 Å, I = 45; 34.73 deg, d = 2.583 Å, I = 23; 35.43 deg, d = 2.534 Å, I = 46; 36.14 deg, d = 2.485 Å, I = 46; 36.46 deg, d = 2.464 Å, I = 100; 37.73 deg, d = 2.384 Å, I = 95; 40.22 deg, d = 2.242 Å, I = 43

---

# 8
Theoretical powder diffractogram
Compound: CeU2AlC4
Radiation: Cu Kα (weighted mean of Kα1 and Kα2)
Structure: a crystal structure in Alexandria, relaxed with PBE
No peak broadening, texture or thermal motion is included.

Structural model:
Cell lengths 5.993, 5.993, 11.592 Å; angles 90.00, 90.00, 144.97 degrees
Fractional coordinates of all 16 atoms:
Ce  0.111  0.889  0.750
Ce  0.889  0.111  0.250
U  0.375  0.625  0.550
U  0.375  0.625  0.950
U  0.625  0.375  0.050
U  0.625  0.375  0.450
Al  0.153  0.847  0.250
Al  0.847  0.153  0.750
C  0.000  0.000  0.000
C  0.000  0.000  0.500
C  0.256  0.744  0.111
C  0.256  0.744  0.389
C  0.440  0.560  0.750
C  0.560  0.440  0.250
C  0.744  0.256  0.611
C  0.744  0.256  0.889

Largest 8 diffraction maxima, low angle first, 2θ from 10° to 90°:
15.29 deg, d = 5.796 Å, I = 36; 27.87 deg, d = 3.201 Å, I = 100; 30.21 deg, d = 2.958 Å, I = 97; 31.30 deg, d = 2.858 Å, I = 55; 37.69 deg, d = 2.387 Å, I = 57; 47.28 deg, d = 1.922 Å, I = 35; 49.77 deg, d = 1.832 Å, I = 29; 52.73 deg, d = 1.736 Å, I = 31

---

# 9
Theoretical powder diffractogram
Compound: SrMg6Cd2
Radiation: Cu Kα (weighted mean of Kα1 and Kα2)
Structure: a crystal structure in Alexandria, relaxed with PBE
No peak broadening, texture or thermal motion is included.

Structural model:
Cell lengths 4.661, 4.661, 10.645 Å; angles 90.00, 90.00, 90.00 degrees
Fractional coordinates of all 9 atoms:
Sr  0.000  0.000  0.000
Mg  0.000  0.000  0.500
Mg  0.000  0.500  0.300
Mg  0.000  0.500  0.700
Mg  0.500  0.000  0.300
Mg  0.500  0.000  0.700
Mg  0.500  0.500  0.500
Cd  0.500  0.500  0.135
Cd  0.500  0.500  0.865

Largest 8 diffraction maxima, low angle first, 2θ from 10° to 90°:
27.06 deg, d = 3.296 Å, I = 69; 28.35 deg, d = 3.148 Å, I = 85; 31.69 deg, d = 2.823 Å, I = 100; 31.94 deg, d = 2.802 Å, I = 48; 38.64 deg, d = 2.330 Å, I = 84; 38.97 deg, d = 2.311 Å, I = 71; 50.80 deg, d = 1.797 Å, I = 51; 56.04 deg, d = 1.641 Å, I = 47

---

# 10
Theoretical powder diffractogram
Compound: ZrPaNbIr
Radiation: Cu Kα (weighted mean of Kα1 and Kα2)
Structure: a crystal structure in Alexandria, relaxed with PBE
No peak broadening, texture or thermal motion is included.

Structural model:
Cell lengths 4.836, 4.836, 4.836 Å; angles 60.00, 60.00, 60.00 degrees
Fractional coordinates of all 4 atoms:
Zr  0.000  0.000  0.000
Pa  0.500  0.500  0.500
Nb  0.750  0.750  0.750
Ir  0.250  0.250  0.250

Largest 8 diffraction maxima, low angle first, 2θ from 10° to 90°:
22.52 deg, d = 3.948 Å, I = 16; 37.19 deg, d = 2.418 Å, I = 100; 43.91 deg, d = 2.062 Å, I = 9; 53.60 deg, d = 1.710 Å, I = 18; 58.86 deg, d = 1.569 Å, I = 4; 67.04 deg, d = 1.396 Å, I = 36; 79.24 deg, d = 1.209 Å, I = 11; 83.66 deg, d = 1.156 Å, I = 3

---

# 11
Theoretical powder diffractogram
Compound: Mg4InPb10
Radiation: Cu Kα (weighted mean of Kα1 and Kα2)
Structure: a crystal structure in Alexandria, relaxed with PBE
No peak broadening, texture or thermal motion is included.

Structural model:
Cell lengths 8.793, 8.793, 11.328 Å; angles 129.88, 129.88, 48.77 degrees
Fractional coordinates of all 15 atoms:
Mg  0.100  0.100  0.298
Mg  0.300  0.300  0.900
Mg  0.700  0.700  0.100
Mg  0.900  0.900  0.702
In  0.500  0.500  0.500
Pb  0.043  0.551  0.398
Pb  0.146  0.653  0.196
Pb  0.252  0.748  0.000
Pb  0.347  0.854  0.804
Pb  0.449  0.957  0.602
Pb  0.551  0.043  0.398
Pb  0.653  0.146  0.196
Pb  0.748  0.252  0.000
Pb  0.854  0.347  0.804
Pb  0.957  0.449  0.602

Largest 8 diffraction maxima, low angle first, 2θ from 10° to 90°:
24.52 deg, d = 3.631 Å, I = 79; 24.73 deg, d = 3.600 Å, I = 79; 24.88 deg, d = 3.579 Å, I = 77; 35.10 deg, d = 2.556 Å, I = 100; 35.21 deg, d = 2.549 Å, I = 99; 35.36 deg, d = 2.538 Å, I = 98; 62.95 deg, d = 1.477 Å, I = 38; 63.24 deg, d = 1.470 Å, I = 37